(1)
Diffraction record for Tb2ScZn5. The X-ray powder pattern is computed, not measured: it uses DFT lattice parameters and positions (GGA-PBE) and Cu Ka.
Neutral-atom scattering factors, no anomalous dispersion.

Cell and atoms:
abc: 4.723 4.723 13.995
angles: 90.00 90.00 90.00
Space group I4/mmm (No. 139)
Inequivalent atoms, fractional coordinates:
Tb  0.000  0.000  0.235
Sc  0.000  0.000  0.500
Zn  0.000  0.000  0.000
Zn  0.000  0.500  0.108

Main lines, in order of rising 2θ (2θ = 10–90°):
- (0 0 2), 12.65°, I 12
- (1 1 2), 29.64°, I 26
- (1 1 4), 37.22°, I 100
- (1 0 5), 37.34°, I 6
- (2 0 0), 38.11°, I 54
- (2 2 0), 54.99°, I 18
- (2 0 6), 55.36°, I 7
- (2 0 8), 66.52°, I 11
- (3 1 4), 68.28°, I 33
- (2 2 8), 79.32°, I 7

(2)
Diffraction record for TbZr4Sc4. The X-ray powder pattern is computed, not measured: it uses DFT lattice parameters and positions (GGA-PBE) and Cu Ka.
Neutral-atom scattering factors, no anomalous dispersion.

Cell and atoms:
abc: 5.592 8.035 10.601
angles: 73.55 77.85 77.83
Space group P-1 (No. 2)
Inequivalent atoms, fractional coordinates:
Tb  0.078  0.254  0.246
Zr  0.337  0.583  0.250
Zr  0.393  0.684  0.923
Zr  0.423  0.091  0.735
Zr  0.469  0.809  0.578
Sc  0.013  0.861  0.415
Sc  0.149  0.357  0.909
Sc  0.202  0.962  0.082
Sc  0.238  0.473  0.577

Main lines, in order of rising 2θ (2θ = 10–90°):
- (0 1 1), 12.73°, I 37
- (2 1 1), 32.34°, I 54
- (0 3 1), 34.25°, I 98
- (-1 1 3), 34.39°, I 78
- (1 -1 3), 34.83°, I 83
- (2 2 1), 35.93°, I 33
- (1 2 -2), 36.56°, I 64
- (1 2 4), 37.12°, I 100
- (2 -2 0), 44.18°, I 24
- (0 0 6), 54.90°, I 24

(3)
Diffraction record for TbZr5Sc12. The X-ray powder pattern is computed, not measured: it uses DFT lattice parameters and positions (GGA-PBE) and Cu Ka.
Neutral-atom scattering factors, no anomalous dispersion.

Cell and atoms:
abc: 5.620 9.732 15.967
angles: 90.00 90.05 90.00
Space group C2/m (No. 12)
Inequivalent atoms, fractional coordinates:
Tb  0.000  0.000  0.000
Zr  0.000  0.000  0.500
Zr  0.000  0.333  0.000
Zr  0.000  0.333  0.500
Sc  0.161  0.500  0.834
Sc  0.165  0.500  0.339
Sc  0.167  0.167  0.339
Sc  0.170  0.170  0.834

Main lines, in order of rising 2θ (2θ = 10–90°):
- (0 0 2), 11.08°, I 42
- (2 0 0), 31.85°, I 10
- (0 0 6), 33.68°, I 31
- (2 0 2), 33.82°, I 100
- (1 3 4), 39.21°, I 67
- (2 0 8), 56.56°, I 21
- (3 3 0), 56.75°, I 19
- (1 3 10), 67.47°, I 13
- (4 0 -2), 67.65°, I 25
- (4 0 4), 71.15°, I 11

(4)
Diffraction record for Sc5Tc. The X-ray powder pattern is computed, not measured: it uses DFT lattice parameters and positions (GGA-PBE) and Cu Ka.
Neutral-atom scattering factors, no anomalous dispersion.

Cell and atoms:
abc: 11.211 3.360 7.632
angles: 90.00 111.48 90.00
Space group C2/m (No. 12)
Inequivalent atoms, fractional coordinates:
Sc  0.000  0.000  0.000
Sc  0.137  0.500  0.363
Sc  0.162  0.500  0.787
Tc  0.000  0.000  0.500

Main lines, in order of rising 2θ (2θ = 10–90°):
- (0 0 1), 12.46°, I 65
- (2 0 0), 17.00°, I 47
- (4 0 -2), 34.41°, I 43
- (2 0 2), 35.41°, I 57
- (1 1 -2), 35.61°, I 100
- (3 1 0), 37.21°, I 96
- (1 1 -3), 45.01°, I 17
- (2 0 -4), 47.67°, I 17
- (0 2 0), 54.63°, I 16
- (2 2 2), 66.80°, I 19

(5)
Diffraction record for ScTc3. The X-ray powder pattern is computed, not measured: it uses DFT lattice parameters and positions (GGA-PBE) and Cu Ka.
Neutral-atom scattering factors, no anomalous dispersion.

Cell and atoms:
abc: 2.819 4.397 5.125
angles: 90.00 100.70 90.00
Space group P2/m (No. 10)
Inequivalent atoms, fractional coordinates:
Sc  0.000  0.000  0.000
Tc  0.264  0.500  0.749
Tc  0.500  0.000  0.500

Main lines, in order of rising 2θ (2θ = 10–90°):
- (1 1 -1), 39.79°, I 100
- (1 0 1), 39.95°, I 50
- (0 2 0), 41.06°, I 46
- (0 1 2), 41.32°, I 90
- (1 2 1), 58.63°, I 31
- (1 0 -3), 58.79°, I 15
- (2 1 0), 71.39°, I 25
- (1 3 -1), 73.95°, I 15
- (1 2 -3), 74.20°, I 15
- (0 3 2), 74.98°, I 15

(6)
Diffraction record for ScTc3. The X-ray powder pattern is computed, not measured: it uses DFT lattice parameters and positions (GGA-PBE) and Cu Ka.
Neutral-atom scattering factors, no anomalous dispersion.

Cell and atoms:
abc: 6.317 8.909 4.428
angles: 90.00 90.00 90.00
Space group Cmcm (No. 63)
Inequivalent atoms, fractional coordinates:
Sc  0.000  0.124  0.250
Tc  0.000  0.374  0.750
Tc  0.242  0.373  0.250

Main lines, in order of rising 2θ (2θ = 10–90°):
- (1 1 0), 17.21°, I 6
- (0 2 1), 28.42°, I 3
- (0 4 0), 40.50°, I 100
- (0 0 2), 40.76°, I 20
- (4 0 0), 58.44°, I 6
- (0 4 2), 58.81°, I 13
- (4 4 0), 73.51°, I 6
- (2 6 1), 73.68°, I 19
- (2 2 3), 74.02°, I 13
- (0 8 0), 87.63°, I 10

(7)
Diffraction record for Sc4Tc. The X-ray powder pattern is computed, not measured: it uses DFT lattice parameters and positions (GGA-PBE) and Cu Ka.
Neutral-atom scattering factors, no anomalous dispersion.

Cell and atoms:
abc: 8.118 8.118 7.196
angles: 90.00 90.00 90.00
Space group I4_1/amd (No. 141, origin choice 2)
Inequivalent atoms, fractional coordinates:
Sc  0.000  0.055  0.208
Tc  0.000  0.250  0.875

Main lines, in order of rising 2θ (2θ = 10–90°):
- (1 0 1), 16.46°, I 100
- (2 0 0), 21.90°, I 89
- (2 0 2), 33.28°, I 77
- (3 0 1), 35.44°, I 98
- (1 0 3), 39.16°, I 62
- (3 2 1), 42.05°, I 68
- (3 1 2), 43.30°, I 59
- (4 0 0), 44.65°, I 37
- (3 3 2), 54.30°, I 30
- (4 3 1), 58.26°, I 34

(8)
Diffraction record for Sc7Tc2Te2. The X-ray powder pattern is computed, not measured: it uses DFT lattice parameters and positions (GGA-PBE) and Cu Ka.
Neutral-atom scattering factors, no anomalous dispersion.

Cell and atoms:
abc: 3.829 14.703 8.667
angles: 90.00 90.00 90.00
Space group Imm2 (No. 44)
Inequivalent atoms, fractional coordinates:
Sc  0.000  0.000  0.000
Sc  0.000  0.137  0.414
Sc  0.000  0.318  0.628
Sc  0.000  0.345  0.250
Tc  0.000  0.233  0.938
Te  0.000  0.000  0.665
Te  0.000  0.500  0.765

Main lines, in order of rising 2θ (2θ = 10–90°):
- (0 2 2), 23.84°, I 58
- (0 4 0), 24.21°, I 29
- (1 0 1), 25.43°, I 31
- (1 2 1), 28.22°, I 34
- (1 1 2), 31.78°, I 25
- (1 4 1), 35.40°, I 100
- (0 3 3), 36.09°, I 29
- (1 3 2), 36.28°, I 48
- (1 2 3), 41.02°, I 38
- (2 0 0), 47.49°, I 28

(9)
Diffraction record for ThScTc. The X-ray powder pattern is computed, not measured: it uses DFT lattice parameters and positions (GGA-PBE) and Cu Ka.
Neutral-atom scattering factors, no anomalous dispersion.

Cell and atoms:
abc: 3.399 3.399 12.265
angles: 90.00 90.00 90.00
Space group I4mm (No. 107)
Inequivalent atoms, fractional coordinates:
Th  0.000  0.000  0.000
Sc  0.000  0.000  0.267
Tc  0.000  0.000  0.641

Main lines, in order of rising 2θ (2θ = 10–90°):
- (0 0 2), 14.44°, I 55
- (1 0 1), 27.23°, I 39
- (1 0 3), 34.31°, I 100
- (1 1 0), 37.42°, I 47
- (1 1 2), 40.31°, I 19
- (1 0 5), 45.61°, I 28
- (2 0 0), 53.96°, I 16
- (1 1 6), 59.35°, I 18
- (2 1 3), 65.52°, I 31
- (1 1 8), 73.25°, I 25

(10)
Diffraction record for Th3Sc3Tl2Tc. The X-ray powder pattern is computed, not measured: it uses DFT lattice parameters and positions (GGA-PBE) and Cu Ka.
Neutral-atom scattering factors, no anomalous dispersion.

Cell and atoms:
abc: 8.6420 8.6420 3.6914
angles: 90.00 90.00 120.00
Space group P-62m (No. 189)
Inequivalent atoms, fractional coordinates:
Th  0.0000  0.7477  0.0000
Sc  0.0000  0.3922  0.5000
Tl  0.3333  0.6667  0.0000
Tc  0.0000  0.0000  0.5000

Main lines, in order of rising 2θ (2θ = 10–90°):
- (1 1 0), 20.55°, I 54
- (0 0 1), 24.11°, I 51
- (2 1 0), 31.63°, I 80
- (1 1 1), 31.89°, I 73
- (2 0 1), 34.12°, I 65
- (3 0 0), 36.00°, I 56
- (2 1 1), 40.16°, I 100
- (3 2 1), 59.36°, I 44
- (2 1 2), 59.83°, I 27
- (3 0 2), 62.61°, I 23

(11)
Diffraction record for ScTiTc4. The X-ray powder pattern is computed, not measured: it uses DFT lattice parameters and positions (GGA-PBE) and Cu Ka.
Neutral-atom scattering factors, no anomalous dispersion.

Cell and atoms:
abc: 7.346 7.346 7.346
angles: 90.00 90.00 90.00
Space group F-43m (No. 216)
Inequivalent atoms, fractional coordinates:
Sc  0.000  0.000  0.000
Ti  0.250  0.250  0.250
Tc  0.125  0.125  0.625

Main lines, in order of rising 2θ (2θ = 10–90°):
- (1 1 1), 20.95°, I 50
- (2 2 0), 34.53°, I 10
- (3 1 1), 40.74°, I 100
- (2 2 2), 42.63°, I 67
- (4 0 0), 49.64°, I 19
- (3 3 1), 54.44°, I 12
- (5 1 1), 66.09°, I 30
- (4 4 0), 72.83°, I 29
- (5 3 3), 86.97°, I 10
- (6 2 2), 88.23°, I 24

(12)
Diffraction record for Sc6Tl2Tc. The X-ray powder pattern is computed, not measured: it uses DFT lattice parameters and positions (GGA-PBE) and Cu Ka.
Neutral-atom scattering factors, no anomalous dispersion.

Cell and atoms:
abc: 8.0509 8.0509 3.6656
angles: 90.00 90.00 120.00
Space group P-62m (No. 189)
Inequivalent atoms, fractional coordinates:
Sc  0.0000  0.3815  0.0000
Sc  0.0000  0.7569  0.5000
Tl  0.3333  0.6667  0.5000
Tc  0.0000  0.0000  0.0000

Main lines, in order of rising 2θ (2θ = 10–90°):
- (1 1 0), 22.08°, I 100
- (1 0 1), 27.49°, I 40
- (1 1 1), 33.05°, I 65
- (2 0 1), 35.54°, I 61
- (3 0 0), 38.74°, I 61
- (2 1 1), 42.24°, I 59
- (4 1 0), 60.89°, I 22
- (3 2 1), 63.45°, I 24
- (3 0 2), 64.78°, I 26
- (4 1 1), 66.54°, I 20